Computed PXRD pattern
Compound: NaPuAgS3
Radiation: λ = 1.5418 Å (Cu Kα)
Structure: a cell relaxed with GGA-PBE

Unit cell a=7.239 b=4.053 c=10.042 alpha=90.00 beta=102.62 gamma=90.00
Space group P2_1/m (No. 11)
One atom of each set of equivalent atoms:
Na (0.135, 0.250, 0.168) x2
Pu (0.369, 0.250, 0.828) x2
Ag (0.147, 0.750, 0.561) x2
S (0.015, 0.250, 0.690) x2
S (0.284, 0.750, 0.993) x2
S (0.481, 0.750, 0.692) x2

Top 10 peaks for 2θ = 10–90°, sorted by position:
- 2θ 13.76, I = 100, (1 0 -1)
- 2θ 27.88, I = 26, (1 1 1)
- 2θ 28.61, I = 32, (0 1 2)
- 2θ 29.62, I = 40, (1 1 -2)
- 2θ 33.66, I = 20, (2 1 0)
- 2θ 34.39, I = 16, (2 0 2)
- 2θ 35.42, I = 14, (1 1 -3)
- 2θ 40.00, I = 16, (2 1 -3)
- 2θ 43.66, I = 20, (3 1 -1)
- 2θ 47.49, I = 20, (1 1 4)